No. 1
Starting from a cell relaxed with GGA-PBE, the PXRD pattern of Pr4Er5Th2 was simulated for CuKα.
Lines closer than 0.1° are merged.

Crystal structure
abc: 3.525 8.932 11.844
angles: 84.84 89.68 79.44
Space group P-1 (No. 2)
Inequivalent atoms, fractional coordinates:
Pr: 0.074 0.275 0.168 x2
Pr: 0.364 0.802 0.534 x2
Er: 0.022 0.454 0.639 x2
Er: 0.163 0.089 0.736 x2
Er: 0.500 0.000 0.000 x1
Th: 0.434 0.637 0.109 x2

Most intense lines, 10° ≤ 2θ ≤ 90°, by intensity:
d_spacing, two_theta, intensity, (hkl)
2.872, 31.1, 100, 0 1 4
2.891, 30.9, 67, 0 3 1
2.800, 32.0, 60, 0 2 -3
2.746, 32.6, 38, -1 1 2
2.973, 30.1, 34, 1 0 2
2.912, 30.7, 18, 1 -1 1
2.730, 32.8, 17, 1 2 2
2.622, 34.2, 15, 1 1 3
1.925, 47.2, 15, 1 1 -5
2.944, 30.4, 15, 1 1 -2

=====

No. 2
Starting from a cell relaxed with GGA-PBE, the PXRD pattern of Pu2PaS5 was simulated for CuKα.
Lines closer than 0.1° are merged.

Crystal structure
abc: 11.548 8.039 7.369
angles: 90.00 90.00 90.00
Space group Pnma (No. 62)
Inequivalent atoms, fractional coordinates:
Pu: 0.176 0.003 0.028 x8
Pa: 0.011 0.250 0.578 x4
S: 0.000 0.250 0.958 x4
S: 0.092 0.547 0.669 x8
S: 0.190 0.250 0.337 x4
S: 0.217 0.750 0.306 x4

Most intense lines, 10° ≤ 2θ ≤ 90°, by intensity:
d_spacing, two_theta, intensity, (hkl)
3.412, 26.1, 100, 3 0 1
3.375, 26.4, 72, 1 2 1
3.299, 27.0, 57, 2 2 0
2.458, 36.6, 54, 2 2 2
3.685, 24.2, 47, 0 0 2
1.933, 47.0, 37, 5 2 1
1.732, 52.9, 31, 3 4 1
2.601, 34.5, 27, 3 2 1
2.346, 38.4, 27, 4 2 0
2.010, 45.1, 23, 0 4 0

=====

No. 3
Starting from a cell relaxed with GGA-PBE, the PXRD pattern of CsLiDy2Br8 was simulated for CuKα.
Lines closer than 0.1° are merged.

Crystal structure
abc: 7.3084 7.3084 9.1241
angles: 90.00 90.00 120.00
Space group P-3 (No. 147)
Inequivalent atoms, fractional coordinates:
Cs: 0.0000 0.0000 0.0000 x1
Li: 0.0000 0.0000 0.5000 x1
Dy: 0.3333 0.6667 0.4097 x2
Br: 0.0642 0.3596 0.6448 x6
Br: 0.3333 0.6667 0.1112 x2

Most intense lines, 10° ≤ 2θ ≤ 90°, by intensity:
d_spacing, two_theta, intensity, (hkl)
5.201, 17.0, 100, 0 1 1
2.852, 31.4, 89, 2 -1 2
2.990, 29.9, 82, 2 0 1
2.110, 42.9, 65, 3 0 0
3.392, 26.3, 56, 1 1 1
3.654, 24.4, 53, 1 1 0
1.880, 48.4, 50, 1 2 3
2.741, 32.7, 47, 0 1 3
2.314, 38.9, 44, 3 -2 1
2.193, 41.2, 38, 2 0 3

=====

No. 4
Starting from a cell relaxed with GGA-PBE, the PXRD pattern of AcEr7In4 was simulated for CuKα.
Lines closer than 0.1° are merged.

Crystal structure
abc: 14.153 5.785 10.766
angles: 90.00 124.53 90.00
Space group C2/m (No. 12)
Inequivalent atoms, fractional coordinates:
Ac: 0.000 0.000 0.000 x2
Er: 0.000 0.500 0.000 x2
Er: 0.061 0.000 0.390 x4
Er: 0.198 0.500 0.631 x4
Er: 0.216 0.000 0.876 x4
In: 0.065 0.500 0.769 x4
In: 0.186 0.500 0.331 x4

Most intense lines, 10° ≤ 2θ ≤ 90°, by intensity:
d_spacing, two_theta, intensity, (hkl)
2.893, 30.9, 100, 0 2 0
3.015, 29.6, 56, 1 1 2
3.154, 28.3, 53, 4 0 -3
2.657, 33.7, 49, 3 1 1
2.990, 29.9, 46, 3 1 -3
2.414, 37.3, 40, 5 1 -1
2.132, 42.4, 36, 4 2 -3
2.625, 34.2, 25, 2 0 -4
2.471, 36.4, 22, 5 1 -3
1.944, 46.7, 21, 2 2 -4

=====

No. 5
Starting from a cell relaxed with GGA-PBE, the PXRD pattern of BaY3Ru was simulated for CuKα.
Lines closer than 0.1° are merged.

Crystal structure
abc: 10.133 6.315 10.526
angles: 90.00 97.43 90.00
Space group C2/m (No. 12)
Inequivalent atoms, fractional coordinates:
Ba: 0.183 0.000 0.056 x4
Y: 0.043 0.500 0.282 x4
Y: 0.106 0.000 0.699 x4
Y: 0.242 0.000 0.418 x4
Ru: 0.000 0.255 0.500 x4

Most intense lines, 10° ≤ 2θ ≤ 90°, by intensity:
d_spacing, two_theta, intensity, (hkl)
3.014, 29.6, 100, 1 1 -3
2.316, 38.9, 81, 2 2 2
2.936, 30.4, 79, 3 1 -1
2.959, 30.2, 61, 3 1 0
3.158, 28.3, 56, 0 2 0
2.338, 38.5, 45, 0 2 3
2.449, 36.7, 44, 2 0 -4
2.829, 31.6, 40, 1 1 3
1.489, 62.4, 30, 6 2 -1
4.774, 18.6, 29, 2 0 -1

=====

No. 6
Starting from a cell relaxed with GGA-PBE, the PXRD pattern of Cs3Pm2NdSe6 was simulated for CuKα.
Lines closer than 0.1° are merged.

Crystal structure
abc: 7.593 13.151 8.780
angles: 90.00 106.75 90.00
Space group C2/m (No. 12)
Inequivalent atoms, fractional coordinates:
Cs: 0.000 0.000 0.000 x2
Cs: 0.000 0.334 0.000 x4
Pm: 0.000 0.167 0.500 x4
Nd: 0.000 0.500 0.500 x2
Se: 0.228 0.000 0.690 x4
Se: 0.231 0.332 0.690 x8

Most intense lines, 10° ≤ 2θ ≤ 90°, by intensity:
d_spacing, two_theta, intensity, (hkl)
3.252, 27.4, 100, 1 3 1
2.192, 41.2, 36, 0 6 0
2.425, 37.1, 34, 2 0 2
1.818, 50.2, 19, 4 0 0
1.399, 66.9, 16, 4 6 0
2.101, 43.0, 13, 0 0 4
1.517, 61.1, 13, 3 3 3
1.306, 72.3, 13, 5 3 1
3.635, 24.5, 11, 2 0 0
1.626, 56.6, 10, 2 6 2

=====

No. 7
Starting from a cell relaxed with GGA-PBE, the PXRD pattern of In2SbCl8 was simulated for CuKα.
Lines closer than 0.1° are merged.

Crystal structure
abc: 13.407 7.400 8.650
angles: 90.00 95.16 90.00
Space group C2/m (No. 12)
Inequivalent atoms, fractional coordinates:
In: 0.222 0.000 0.306 x4
Sb: 0.000 0.000 0.000 x2
Cl: 0.113 0.500 0.760 x4
Cl: 0.122 0.240 0.159 x8
Cl: 0.185 0.000 0.566 x4

Most intense lines, 10° ≤ 2θ ≤ 90°, by intensity:
d_spacing, two_theta, intensity, (hkl)
5.287, 16.8, 100, 1 1 -1
5.523, 16.0, 68, 2 0 -1
3.393, 26.3, 40, 3 1 1
2.987, 29.9, 34, 2 2 1
5.067, 17.5, 32, 1 1 1
6.472, 13.7, 30, 1 1 0
3.778, 23.6, 27, 2 0 -2
2.512, 35.7, 26, 5 1 0
3.700, 24.1, 26, 0 2 0
2.535, 35.4, 24, 2 2 2

=====

No. 8
Starting from a cell relaxed with GGA-PBE, the PXRD pattern of Pm8Al3Cu2 was simulated for CuKα.
Lines closer than 0.1° are merged.

Crystal structure
abc: 8.432 15.636 5.414
angles: 90.00 90.00 90.00
Space group Cmmm (No. 65)
Inequivalent atoms, fractional coordinates:
Pm: 0.000 0.103 0.000 x4
Pm: 0.000 0.307 0.000 x4
Pm: 0.214 0.380 0.500 x8
Al: 0.000 0.000 0.500 x2
Al: 0.161 0.500 0.000 x4
Cu: 0.000 0.220 0.500 x4

Most intense lines, 10° ≤ 2θ ≤ 90°, by intensity:
d_spacing, two_theta, intensity, (hkl)
3.326, 26.8, 100, 2 0 1
2.533, 35.4, 89, 2 4 1
2.578, 34.8, 86, 1 5 1
2.707, 33.1, 66, 0 0 2
3.909, 22.7, 33, 0 4 0
1.432, 65.2, 26, 5 5 1
2.108, 42.9, 19, 4 0 0
2.250, 40.1, 19, 3 3 1
2.766, 32.4, 19, 3 1 0
1.527, 60.6, 19, 2 4 3

=====

No. 9
Starting from a cell relaxed with GGA-PBE, the PXRD pattern of Sr2AlZn2Au4 was simulated for CuKα.
Lines closer than 0.1° are merged.

Crystal structure
abc: 6.883 6.883 8.622
angles: 90.00 90.00 90.00
Space group I4/mmm (No. 139)
Inequivalent atoms, fractional coordinates:
Sr: 0.000 0.500 0.250 x4
Al: 0.000 0.000 0.000 x2
Zn: 0.000 0.000 0.323 x4
Au: 0.234 0.234 0.500 x8

Most intense lines, 10° ≤ 2θ ≤ 90°, by intensity:
d_spacing, two_theta, intensity, (hkl)
2.690, 33.3, 100, 2 0 2
2.433, 36.9, 45, 2 2 0
1.449, 64.3, 27, 4 2 2
4.311, 20.6, 24, 0 0 2
1.614, 57.1, 18, 2 2 4
3.441, 25.9, 16, 2 0 0
1.721, 53.2, 15, 4 0 0
2.119, 42.7, 14, 2 2 2
2.156, 41.9, 12, 0 0 4
1.827, 49.9, 12, 2 0 4

=====

No. 10
Starting from a cell relaxed with GGA-PBE, the PXRD pattern of KCd4Br8 was simulated for CuKα.
Lines closer than 0.1° are merged.

Crystal structure
abc: 14.588 8.347 10.664
angles: 90.00 131.31 90.00
Space group C2/m (No. 12)
Inequivalent atoms, fractional coordinates:
K: 0.000 0.000 0.000 x2
Cd: 0.000 0.258 0.500 x4
Cd: 0.239 0.500 0.481 x4
Br: 0.002 0.000 0.316 x4
Br: 0.011 0.500 0.702 x4
Br: 0.233 0.244 0.301 x8

Most intense lines, 10° ≤ 2θ ≤ 90°, by intensity:
d_spacing, two_theta, intensity, (hkl)
8.010, 11.0, 100, 0 0 1
3.281, 27.2, 48, 2 2 -2
2.666, 33.6, 43, 2 2 -3
2.739, 32.7, 24, 4 0 0
2.100, 43.1, 23, 6 2 -3
3.358, 26.5, 21, 4 0 -1
2.165, 41.7, 18, 2 2 2
1.765, 51.8, 14, 2 2 3
2.087, 43.4, 11, 0 4 0
2.019, 44.9, 11, 0 4 1